RbLaZnSe3: calculated X-ray diffraction stick pattern (CuKα), based on a cell relaxed with GGA-PBE.
Lines closer than 0.1° are merged.

Cell and atoms:
Cell: 8.948 4.312 10.759 Å, 90.00 108.06 90.00°
Space group P2_1/m (No. 11)
Symmetry-distinct sites (fractional):
Rb1 0.244 0.250 0.212 x2
La1 0.191 0.750 0.637 x2
Zn1 0.425 0.250 0.892 x2
Se1 0.036 0.750 0.351 x2
Se2 0.297 0.750 0.948 x2
Se3 0.434 0.250 0.669 x2

Top 8 peaks for 10° ≤ 2θ ≤ 90°, in order of falling intensity:
2θ (°)	I/Imax
28.84	100
11.28	85
32.60	41
40.86	30
41.90	29
29.50	20
46.22	19
26.14	19

LaTlZnS3: calculated X-ray diffraction stick pattern (CuKα), based on a cell relaxed with GGA-PBE.
Lines closer than 0.1° are merged.

Cell and atoms:
Cell: 11.344 4.236 12.279 Å, 90.00 90.00 90.00°
Space group Pnma (No. 62)
Symmetry-distinct sites (fractional):
La1 0.022 0.250 0.171 x4
Tl1 0.160 0.250 0.507 x4
Zn1 0.244 0.250 0.796 x4
S1 0.054 0.750 0.330 x4
S2 0.109 0.250 0.940 x4
S3 0.212 0.750 0.702 x4

Top 8 peaks for 10° ≤ 2θ ≤ 90°, in order of falling intensity:
2θ (°)	I/Imax
31.40	100
24.63	72
30.09	65
23.10	55
26.26	53
34.85	45
42.69	38
27.26	35

LaTm2S3: calculated X-ray diffraction stick pattern (CuKα), based on a cell relaxed with GGA-PBE.
Lines closer than 0.1° are merged.

Cell and atoms:
Cell: 3.9021 3.9021 9.8483 Å, 90.00 90.00 120.00°
Space group P-3m1 (No. 164)
Symmetry-distinct sites (fractional):
La1 0.0000 0.0000 0.0000 x1
Tm1 0.3333 0.6667 0.6609 x2
S1 0.0000 0.0000 0.5000 x1
S2 0.3333 0.6667 0.1897 x2

Top 8 peaks for 10° ≤ 2θ ≤ 90°, in order of falling intensity:
2θ (°)	I/Imax
32.12	100
27.91	60
45.59	36
46.55	35
27.16	22
54.73	20
57.68	18
77.15	16

La2ZrS5: calculated X-ray diffraction stick pattern (CuKα), based on a cell relaxed with GGA-PBE.
Lines closer than 0.1° are merged.

Cell and atoms:
Cell: 11.515 8.242 7.415 Å, 90.00 90.00 90.00°
Space group Pnma (No. 62)
Symmetry-distinct sites (fractional):
La1 0.171 0.002 0.058 x8
Zr1 0.010 0.250 0.573 x4
S1 0.004 0.250 0.942 x4
S2 0.074 0.535 0.678 x8
S3 0.193 0.250 0.359 x4
S4 0.209 0.750 0.340 x4

Top 8 peaks for 10° ≤ 2θ ≤ 90°, in order of falling intensity:
2θ (°)	I/Imax
33.42	100
26.14	93
34.14	69
25.92	64
36.13	56
26.60	39
43.94	38
24.00	37

LaTm2Se3: calculated X-ray diffraction stick pattern (CuKα), based on a cell relaxed with GGA-PBE.
Lines closer than 0.1° are merged.

Cell and atoms:
Cell: 4.0666 4.0666 10.2806 Å, 90.00 90.00 120.00°
Space group P-3m1 (No. 164)
Symmetry-distinct sites (fractional):
La1 0.0000 0.0000 0.0000 x1
Tm1 0.3333 0.6667 0.6613 x2
Se1 0.0000 0.0000 0.5000 x1
Se2 0.3333 0.6667 0.1883 x2

Top 8 peaks for 10° ≤ 2θ ≤ 90°, in order of falling intensity:
2θ (°)	I/Imax
30.78	100
44.56	37
43.60	36
55.13	19
73.49	16
26.76	15
72.08	15
81.42	12

LaTmZnSe3: calculated X-ray diffraction stick pattern (CuKα), based on a cell relaxed with GGA-PBE.
Lines closer than 0.1° are merged.

Cell and atoms:
Cell: 4.032 14.299 9.987 Å, 90.00 90.00 90.00°
Space group Cmcm (No. 63)
Symmetry-distinct sites (fractional):
La1 0.000 0.227 0.250 x4
Tm1 0.000 0.000 0.000 x4
Zn1 0.000 0.478 0.750 x4
Se1 0.000 0.111 0.750 x4
Se2 0.000 0.358 0.549 x8

Top 8 peaks for 10° ≤ 2θ ≤ 90°, in order of falling intensity:
2θ (°)	I/Imax
34.22	100
30.38	41
35.97	28
21.71	28
44.96	22
42.01	15
42.79	15
54.78	14

LaTb2Zn4Si4: calculated X-ray diffraction stick pattern (CuKα), based on a cell relaxed with GGA-PBE.
Lines closer than 0.1° are merged.

Cell and atoms:
Cell: 4.117 4.139 24.718 Å, 90.00 90.00 90.00°
Space group Immm (No. 71)
Symmetry-distinct sites (fractional):
La1 0.000 0.000 0.000 x2
Tb1 0.000 0.500 0.145 x4
Zn1 0.000 0.000 0.250 x4
Zn2 0.000 0.500 0.404 x4
Si1 0.000 0.000 0.451 x4
Si2 0.000 0.500 0.309 x4

Top 8 peaks for 10° ≤ 2θ ≤ 90°, in order of falling intensity:
2θ (°)	I/Imax
33.97	100
33.42	45
24.06	24
45.96	22
43.98	21
43.74	19
56.15	17
74.09	14

La2Si3Tc3: calculated X-ray diffraction stick pattern (CuKα), based on a cell relaxed with GGA-PBE.
Lines closer than 0.1° are merged.

Cell and atoms:
Cell: 4.9331 4.9331 25.5979 Å, 90.00 90.00 120.00°
Space group R-3m (No. 166, hexagonal axes)
Symmetry-distinct sites (fractional):
La1 0.0000 0.0000 0.2203 x6
Si1 0.0000 0.0000 0.0488 x6
Si2 0.0000 0.0000 0.5000 x3
Tc1 0.0000 0.5000 0.0000 x9

Top 8 peaks for 10° ≤ 2θ ≤ 90°, in order of falling intensity:
2θ (°)	I/Imax
21.93	100
32.22	89
10.37	68
44.73	60
46.04	45
31.45	43
44.33	37
37.97	36